For KRb3O8, a crystal structure in Alexandria, relaxed with PBE gives the computed powder diffractogram in this record (λ = 1.5418 Å (Cu Kα)).
Kinematic intensities with the Lorentz-polarization factor, no thermal factor.

Unit cell a=8.8385 b=10.8932 c=7.0083 alpha=90.00 beta=129.00 gamma=90.00
Space group Cm (No. 8)
Unique sites:
K 0.0000 0.0000 0.0000
Rb 0.0002 0.2501 0.5003
Rb 0.0003 0.5000 0.0006
O 0.0930 0.5000 0.6724
O 0.1183 0.0000 0.4754
O 0.1196 0.2375 0.0007
O 0.1435 0.5000 0.5253
O 0.2436 0.1642 0.0003
O 0.4211 0.5000 0.3292

Peak list (6 most intense, 2θ = 5–70°, in order of rising 2θ)
| 2theta | I (rel.) | index |
| --- | --- | --- |
| 23.09 | 30 | 0 2 1 |
| 25.96 | 100 | 2 0 0 |
| 32.89 | 46 | 0 4 0 |
| 42.37 | 69 | 2 4 0 |
| 47.44 | 24 | 4 2 -1 |
| 65.28 | 14 | 2 6 1 |